# 1
DyY8Er6: calculated X-ray diffraction stick pattern (Cu Kα (weighted mean of Kα1 and Kα2)), based on the PBE geometry in Alexandria.
Lines closer than 0.1° are merged.

Crystal structure
Cell lengths 9.3440, 9.3440, 6.5648 Å; angles 90.00, 90.00, 120.00 degrees
Space group P-3 (No. 147)
Inequivalent atoms, fractional coordinates:
Dy (0.0000, 0.0000, 0.0000) x1
Y (0.0260, 0.6899, 0.3965) x6
Y (0.3333, 0.6667, 0.6796) x2
Er (0.0870, 0.4089, 0.0948) x6

Most intense lines, 2θ = 10–90°, low angle first:
| h k l | 2θ/deg | I/Imax |
| --- | --- | --- |
| 0 0 1 | 13.49 | 23.5 |
| 0 2 1 | 25.87 | 37.5 |
| 1 2 0 | 29.20 | 33.4 |
| 0 1 2 | 29.36 | 16.9 |
| 3 -1 1 | 32.29 | 100.0 |
| 3 0 0 | 33.21 | 57.6 |
| 1 1 2 | 33.36 | 91.5 |
| 1 2 2 | 40.30 | 16.8 |
| 3 2 1 | 51.13 | 27.8 |
| 6 -1 1 | 65.81 | 15.0 |

---

# 2
Dy2Y3Er5: calculated X-ray diffraction stick pattern (Cu Kα (weighted mean of Kα1 and Kα2)), based on the PBE geometry in Alexandria.
Lines closer than 0.1° are merged.

Crystal structure
Cell lengths 10.6038, 15.6587, 9.4386 Å; angles 90.00, 124.14, 90.00 degrees
Space group C2/c (No. 15)
Inequivalent atoms, fractional coordinates:
Dy (0.1473, 0.1195, 0.0489) x8
Y (0.0000, 0.2675, 0.7500) x4
Y (0.1503, 0.3799, 0.5461) x8
Er (0.0000, 0.0276, 0.2500) x4
Er (0.0000, 0.2304, 0.2500) x4
Er (0.0000, 0.4697, 0.7500) x4
Er (0.2467, 0.3894, 0.2441) x8

Most intense lines, 2θ = 10–90°, low angle first:
| h k l | 2θ/deg | I/Imax |
| --- | --- | --- |
| 0 0 2 | 22.75 | 11.2 |
| 2 4 -2 | 30.62 | 100.0 |
| 4 0 -2 | 33.81 | 22.7 |
| 0 6 1 | 36.32 | 12.0 |
| 2 6 -1 | 38.48 | 13.8 |
| 0 6 3 | 49.44 | 9.8 |
| 4 6 -1 | 50.46 | 9.5 |
| 6 4 -4 | 58.52 | 15.9 |
| 4 6 -5 | 61.25 | 10.3 |
| 2 4 4 | 66.84 | 10.1 |